Diffraction record for La4Sm5Tm2. The powder diffractogram is computed, not measured: it uses a crystal structure in Alexandria, relaxed with PBE and CuKα.
Neutral-atom scattering factors, no anomalous dispersion.

Cell and atoms:
a = 17.9073 Å, b = 3.5800 Å, c = 11.8349 Å
α = 90.00°, β = 94.06°, γ = 90.00°
Space group C2/m (No. 12)
Asymmetric unit:
La1 0.0400 0.0000 0.2629 x4
La2 0.1417 0.5000 0.7943 x4
Sm1 0.0000 0.5000 0.0000 x2
Sm2 0.0973 0.0000 0.5383 x4
Sm3 0.1791 0.0000 0.0736 x4
Tm1 0.2163 0.5000 0.3619 x4

Largest 10 diffraction maxima, most intense first, 2θ from 15° to 90°:
d = 2.936 Å, intensity 100, hkl 6 0 -1; d = 2.854 Å, intensity 92, hkl 4 0 3; d = 2.863 Å, intensity 89, hkl 2 0 -4; d = 2.764 Å, intensity 66, hkl 3 1 -2; d = 1.517 Å, intensity 63, hkl 4 2 3; d = 2.944 Å, intensity 59, hkl 3 1 1; d = 3.036 Å, intensity 51, hkl 1 1 -2; d = 2.999 Å, intensity 39, hkl 1 1 2; d = 2.683 Å, intensity 29, hkl 3 1 2; d = 1.947 Å, intensity 28, hkl 1 1 5